1.
Calculated XRD peak list of NdCd9Ag2 for Cu Kα X-rays, from DFT lattice parameters and positions (GGA-PBE).

Cell and atoms:
abc: 9.215 9.215 9.215
angles: 99.71 99.71 131.50
Sites, in units of the cell vectors:
Nd  0.375  0.625  0.750
Nd  0.625  0.375  0.250
Cd  0.125  0.554  0.330
Cd  0.125  0.795  0.571
Cd  0.125  0.875  0.250
Cd  0.205  0.275  0.330
Cd  0.205  0.875  0.929
Cd  0.275  0.205  0.830
Cd  0.275  0.446  0.071
Cd  0.446  0.275  0.571
Cd  0.446  0.875  0.170
Cd  0.554  0.125  0.830
Cd  0.554  0.725  0.429
Cd  0.725  0.554  0.929
Cd  0.725  0.795  0.170
Cd  0.795  0.125  0.071
Cd  0.795  0.725  0.670
Cd  0.875  0.125  0.750
Cd  0.875  0.205  0.429
Cd  0.875  0.446  0.670
Ag  0.000  0.000  0.000
Ag  0.000  0.000  0.500
Ag  0.000  0.500  0.000
Ag  0.500  0.000  0.500

The 8 most intense peaks (5° ≤ 2θ ≤ 70°), in order of rising 2θ:
Position (°2θ)	I/Imax
29.56	32
33.61	100
33.74	66
36.40	31
39.54	27
39.76	90
41.53	35
60.26	32


2.
Calculated XRD peak list of TiAlGaAu for Cu Kα X-rays, from DFT lattice parameters and positions (GGA-PBE).

Cell and atoms:
abc: 3.868 3.996 4.191
angles: 90.00 90.00 90.00
Sites, in units of the cell vectors:
Ti  0.000  0.000  0.000
Al  0.500  0.000  0.500
Ga  0.500  0.500  0.000
Au  0.000  0.500  0.500

The 8 most intense peaks (5° ≤ 2θ ≤ 70°), in order of rising 2θ:
Position (°2θ)	I/Imax
22.25	32
22.99	17
30.92	16
31.47	28
38.88	100
43.17	19
45.40	16
46.98	14


3.
Calculated XRD peak list of SrLa12Sn4N3 for Cu Kα X-rays, from DFT lattice parameters and positions (GGA-PBE).

Cell and atoms:
abc: 9.003 9.003 9.003
angles: 109.47 109.47 109.47
Sites, in units of the cell vectors:
Sr  0.000  0.000  0.000
La  0.000  0.273  0.273
La  0.000  0.727  0.727
La  0.250  0.500  0.750
La  0.250  0.750  0.500
La  0.273  0.000  0.273
La  0.273  0.273  0.000
La  0.500  0.250  0.750
La  0.500  0.750  0.250
La  0.727  0.000  0.727
La  0.727  0.727  0.000
La  0.750  0.250  0.500
La  0.750  0.500  0.250
Sn  0.000  0.000  0.500
Sn  0.000  0.500  0.000
Sn  0.500  0.000  0.000
Sn  0.500  0.500  0.500
N  0.000  0.500  0.500
N  0.500  0.000  0.500
N  0.500  0.500  0.000

The 8 most intense peaks (5° ≤ 2θ ≤ 70°), in order of rising 2θ:
Position (°2θ)	I/Imax
17.06	4
29.77	100
32.22	3
34.51	65
40.71	3
49.61	44
58.93	41
61.83	15